The following is a computed powder diffraction line list of Ac2AsPd4Pt2. It was derived from a DFT-relaxed cell (PBE, Alexandria), using Cu Ka.

Principal peaks in the range 10° ≤ 2θ ≤ 80°, sorted by position:
2θ/deg, d/Å, I/Imax, (hkl)
28.14, 3.172, 154, 2 0 0
34.27, 2.616, 1000, 2 0 2
38.91, 2.314, 221, 0 0 4
40.21, 2.243, 412, 2 2 0
57.20, 1.611, 268, 2 2 4
69.29, 1.356, 222, 4 2 2

Cell: 6.3431 6.3431 9.2573 Å, 90.00 90.00 90.00°
Space group I4/mmm (No. 139)
One atom of each set of equivalent atoms:
Ac1 0.0000 0.5000 0.2500 (multiplicity 4)
As1 0.0000 0.0000 0.0000 (multiplicity 2)
Pd1 0.2223 0.2223 0.5000 (multiplicity 8)
Pt1 0.0000 0.0000 0.2730 (multiplicity 4)